Pm2PuO8: computed PXRD pattern (λ = 1.5418 Å (Cu Kα)), based on a DFT-relaxed cell (GGA-PBE, Alexandria).
Peak positions follow from Bragg's law for the DFT cell and can differ from measured ones.

The 8 most intense peaks (10 to 80 degrees two-theta), sorted by position:
d [Å], I/Imax
3.349, 100
3.316, 59
3.182, 47
2.876, 51
2.815, 29
2.044, 36
1.980, 29
1.728, 28

Atomic structure:
```
Pm2PuO8
1.0
6.487 -2.083 0.000
6.487 2.083 0.000
-2.220 0.000 5.180
Pm Pu O
2 1 8
Cartesian
1.633 0.000 0.880
9.120 0.000 4.299
5.376 0.000 2.590
-1.558 0.000 3.779
1.433 0.000 4.477
3.470 0.000 2.669
4.855 0.000 0.161
5.897 0.000 5.019
7.283 0.000 2.511
9.319 0.000 0.703
12.311 0.000 1.401
```